Starting from the PBE geometry in Alexandria, the powder diffractogram of AcMg4Ru was calculated for Cu Kα, 1.54184 Å.
No peak broadening, texture or thermal motion is included.

Cell and atoms:
```
12
Lattice="8.587 0.000 0.000 0.000 4.440 0.000 0.000 0.000 7.680" Properties=species:S:1:pos:R:3 pbc="T T T"
Ac 2.147 0.000 0.657
Ac 6.440 0.000 7.023
Mg 0.000 0.000 3.840
Mg 0.572 2.220 6.076
Mg 2.147 2.220 3.607
Mg 3.722 2.220 6.076
Mg 4.294 0.000 3.840
Mg 4.866 2.220 1.604
Mg 6.440 2.220 4.073
Mg 8.015 2.220 1.604
Ru 2.147 0.000 5.488
Ru 6.440 0.000 2.192
```

Principal peaks in the range 5° ≤ 2θ ≤ 70°, low angle first:
2θ = 11.52°, 7.680 Å, I 634, (0 0 1); 2θ = 20.00°, 4.440 Å, I 914, (0 1 0); 2θ = 20.69°, 4.294 Å, I 960, (2 0 0); 2θ = 25.41°, 3.506 Å, I 684, (1 0 2); 2θ = 28.93°, 3.087 Å, I 956, (2 1 0); 2θ = 31.23°, 2.864 Å, I 870, (2 1 1); 2θ = 32.54°, 2.751 Å, I 1000, (1 1 2); 2θ = 42.08°, 2.147 Å, I 810, (4 0 0)